# 1
# AcH6F12
Computed powder diffractogram, λ = 1.5418 Å (Cu Kα). Input: a cell relaxed with PBE.
Lines closer than 0.1° are merged.

```
AcH6F12
1.0
5.007 0.000 0.000
-0.153 6.524 0.000
-1.628 -3.194 7.359
Ac H F
1 6 12
Cartesian
0.000 0.000 0.000
0.035 4.185 2.632
0.259 2.961 3.605
0.368 3.580 4.028
2.859 -0.250 3.330
2.968 0.368 3.754
3.192 -0.855 4.727
-0.014 2.677 0.581
-0.164 5.003 2.161
0.071 1.230 2.029
0.469 0.576 4.129
0.803 0.074 5.461
0.872 -2.404 6.768
2.354 5.733 0.590
2.423 3.256 1.897
2.758 2.754 3.229
3.155 2.100 5.329
3.391 -1.673 5.197
3.240 0.653 6.777
```

Main lines, in order of rising 2θ (2θ = 10–90°):
| d [Å] | 2θ/deg | I (rel.) |
| --- | --- | --- |
| 7.359 | 12.03 | 1000 |
| 5.984 | 14.80 | 400 |
| 5.944 | 14.91 | 521 |
| 4.876 | 18.19 | 481 |
| 4.566 | 19.44 | 366 |
| 3.907 | 22.76 | 531 |



# 2
# AcHF14
Computed powder diffractogram, λ = 1.5418 Å (Cu Kα). Input: a cell relaxed with PBE.
Lines closer than 0.1° are merged.

```
AcHF14
1.0
4.894 0.000 0.000
0.170 7.075 0.000
0.316 2.260 7.078
Ac H F
1 1 14
Cartesian
0.000 0.000 0.000
5.178 5.801 6.635
0.376 3.464 4.602
1.942 7.467 5.123
2.022 5.292 3.348
2.406 2.561 1.750
2.495 3.715 0.916
2.590 6.487 0.728
2.784 2.904 6.255
3.014 7.865 4.220
3.137 4.706 4.046
4.609 0.895 2.275
5.116 6.986 6.522
5.063 6.014 2.258
5.069 2.337 3.630
5.245 4.704 6.753
```

Main lines, in order of rising 2θ (2θ = 10–90°):
| d [Å] | 2θ/deg | I (rel.) |
| --- | --- | --- |
| 7.078 | 12.51 | 885 |
| 6.740 | 13.14 | 1000 |
| 5.850 | 15.15 | 705 |
| 4.889 | 18.15 | 410 |
| 3.979 | 22.34 | 359 |
| 2.923 | 30.59 | 538 |



# 3
# AcH4F6
Computed powder diffractogram, λ = 1.5418 Å (Cu Kα). Input: a cell relaxed with PBE.
Lines closer than 0.1° are merged.

```
AcH4F6
1.0
-2.399 3.762 4.385
2.399 -3.762 4.385
2.399 3.762 -4.385
Ac H F
1 4 6
Cartesian
0.000 0.000 0.000
0.920 -0.885 3.624
1.479 2.877 0.761
1.479 4.647 -0.761
0.920 0.885 5.146
2.399 0.000 0.000
1.570 -1.526 3.224
0.828 2.236 1.161
0.000 0.000 4.385
0.828 5.288 -1.161
1.570 1.526 5.546
```

Main lines, in order of rising 2θ (2θ = 10–90°):
| d [Å] | 2θ/deg | I (rel.) |
| --- | --- | --- |
| 5.710 | 15.52 | 1000 |
| 4.385 | 20.25 | 472 |
| 4.209 | 21.11 | 520 |
| 4.045 | 21.97 | 515 |
| 2.973 | 30.06 | 589 |
| 2.855 | 31.33 | 347 |



Copy entry 3 word for word.
# AcH4F6
Computed powder diffractogram, λ = 1.5418 Å (Cu Kα). Input: a cell relaxed with PBE.
Lines closer than 0.1° are merged.

```
AcH4F6
1.0
-2.399 3.762 4.385
2.399 -3.762 4.385
2.399 3.762 -4.385
Ac H F
1 4 6
Cartesian
0.000 0.000 0.000
0.920 -0.885 3.624
1.479 2.877 0.761
1.479 4.647 -0.761
0.920 0.885 5.146
2.399 0.000 0.000
1.570 -1.526 3.224
0.828 2.236 1.161
0.000 0.000 4.385
0.828 5.288 -1.161
1.570 1.526 5.546
```

Main lines, in order of rising 2θ (2θ = 10–90°):
| d [Å] | 2θ/deg | I (rel.) |
| --- | --- | --- |
| 5.710 | 15.52 | 1000 |
| 4.385 | 20.25 | 472 |
| 4.209 | 21.11 | 520 |
| 4.045 | 21.97 | 515 |
| 2.973 | 30.06 | 589 |
| 2.855 | 31.33 | 347 |